No. 1
# Pr4BCl5
Simulated PXRD pattern, CuKα. Input: the PBE geometry in OQMD.
Kinematic intensities with the Lorentz-polarization factor, no thermal factor.

Atomic structure:
```
data_Pr4BCl5
_chemical_formula_sum 'Pr4 B1 Cl5'
_space_group_name_H-M_alt 'P 1'
_space_group_IT_number 1
_space_group_name_Hall 'P 1'
_cell_length_a 9.279
_cell_length_b 9.279
_cell_length_c 8.228
_cell_angle_alpha 104.21
_cell_angle_beta 104.21
_cell_angle_gamma 25.07
loop_
_atom_site_label
_atom_site_type_symbol
_atom_site_fract_x
_atom_site_fract_y
_atom_site_fract_z
Pr1 Pr 0.001 0.001 0.278
Pr2 Pr 0.350 0.350 0.409
Pr3 Pr 0.650 0.650 0.591
Pr4 Pr 0.999 0.999 0.722
B1 B 0.500 0.500 0.500
Cl1 Cl 0.164 0.164 0.841
Cl2 Cl 0.170 0.170 0.350
Cl3 Cl 0.500 0.500 0.000
Cl4 Cl 0.830 0.830 0.650
Cl5 Cl 0.836 0.836 0.159
```

Main lines, in order of rising 2θ (10 to 90 degrees two-theta):
2θ = 10.09°, I = 36; 2θ = 11.11°, I = 71; 2θ = 26.86°, I = 51; 2θ = 30.61°, I = 71; 2θ = 31.08°, I = 100; 2θ = 44.58°, I = 33

=====

No. 2
# Rb2AlAuBr6
Simulated PXRD pattern, CuKα. Input: the PBE geometry in OQMD.
Kinematic intensities with the Lorentz-polarization factor, no thermal factor.

Atomic structure:
```
data_Rb2AlAuBr6
_chemical_formula_sum 'Rb2 Al1 Au1 Br6'
_space_group_name_H-M_alt 'P 1'
_space_group_IT_number 1
_space_group_name_Hall 'P 1'
_cell_length_a 7.619
_cell_length_b 7.619
_cell_length_c 7.619
_cell_angle_alpha 60.00
_cell_angle_beta 60.00
_cell_angle_gamma 60.00
loop_
_atom_site_label
_atom_site_type_symbol
_atom_site_fract_x
_atom_site_fract_y
_atom_site_fract_z
Rb1 Rb 0.250 0.250 0.250
Rb2 Rb 0.750 0.750 0.750
Al1 Al 0.000 0.000 0.000
Au1 Au 0.500 0.500 0.500
Br1 Br 0.237 0.237 0.763
Br2 Br 0.237 0.763 0.237
Br3 Br 0.237 0.763 0.763
Br4 Br 0.763 0.237 0.237
Br5 Br 0.763 0.237 0.763
Br6 Br 0.763 0.763 0.237
```

Main lines, in order of rising 2θ (10 to 90 degrees two-theta):
2θ = 16.45°, I = 34; 2θ = 23.35°, I = 35; 2θ = 28.70°, I = 48; 2θ = 33.26°, I = 100; 2θ = 47.75°, I = 70; 2θ = 79.58°, I = 30

=====

No. 3
# Sr3Re2Au2
Simulated PXRD pattern, CuKα. Input: the PBE geometry in OQMD.
Kinematic intensities with the Lorentz-polarization factor, no thermal factor.

Atomic structure:
```
data_Sr3Re2Au2
_chemical_formula_sum 'Sr3 Re2 Au2'
_space_group_name_H-M_alt 'P 1'
_space_group_IT_number 1
_space_group_name_Hall 'P 1'
_cell_length_a 8.957
_cell_length_b 8.957
_cell_length_c 8.957
_cell_angle_alpha 33.80
_cell_angle_beta 33.80
_cell_angle_gamma 33.80
loop_
_atom_site_label
_atom_site_type_symbol
_atom_site_fract_x
_atom_site_fract_y
_atom_site_fract_z
Sr1 Sr 0.000 0.000 0.000
Sr2 Sr 0.245 0.245 0.245
Sr3 Sr 0.489 0.489 0.489
Re1 Re 0.120 0.120 0.120
Re2 Re 0.634 0.634 0.634
Au1 Au 0.368 0.368 0.368
Au2 Au 0.859 0.859 0.859
```

Main lines, in order of rising 2θ (10 to 90 degrees two-theta):
2θ = 24.23°, I = 52; 2θ = 34.44°, I = 100; 2θ = 34.63°, I = 84; 2θ = 49.65°, I = 30; 2θ = 61.70°, I = 19; 2θ = 61.82°, I = 32

=====

No. 4
# Pr3AsS5Cl2
Simulated PXRD pattern, CuKα. Input: the PBE geometry in OQMD.
Kinematic intensities with the Lorentz-polarization factor, no thermal factor.

Atomic structure:
```
data_Pr3AsS5Cl2
_chemical_formula_sum 'Pr6 As2 S10 Cl4'
_space_group_name_H-M_alt 'P 1'
_space_group_IT_number 1
_space_group_name_Hall 'P 1'
_cell_length_a 11.587
_cell_length_b 11.587
_cell_length_c 7.081
_cell_angle_alpha 98.43
_cell_angle_beta 98.43
_cell_angle_gamma 35.03
loop_
_atom_site_label
_atom_site_type_symbol
_atom_site_fract_x
_atom_site_fract_y
_atom_site_fract_z
Pr1 Pr 0.054 0.639 0.847
Pr2 Pr 0.202 0.798 0.500
Pr3 Pr 0.490 0.910 0.864
Pr4 Pr 0.639 0.054 0.347
Pr5 Pr 0.798 0.202 0.000
Pr6 Pr 0.910 0.490 0.364
As1 As 0.356 0.736 0.058
As2 As 0.736 0.356 0.558
S1 S 0.000 0.163 0.368
S2 S 0.163 0.000 0.868
S3 S 0.395 0.543 0.831
S4 S 0.543 0.395 0.331
S5 S 0.562 0.666 0.526
S6 S 0.666 0.562 0.026
S7 S 0.715 0.826 0.604
S8 S 0.826 0.715 0.104
S9 S 0.870 0.983 0.669
S10 S 0.983 0.870 0.169
Cl1 Cl 0.115 0.316 0.730
Cl2 Cl 0.231 0.447 0.482
Cl3 Cl 0.316 0.115 0.230
Cl4 Cl 0.447 0.231 0.982
```

Main lines, in order of rising 2θ (10 to 90 degrees two-theta):
2θ = 20.60°, I = 67; 2θ = 22.83°, I = 100; 2θ = 25.51°, I = 73; 2θ = 32.04°, I = 54; 2θ = 35.66°, I = 70; 2θ = 36.40°, I = 45

=====

No. 5
# PrNd2Si4Pd2Pt2
Simulated PXRD pattern, CuKα. Input: the PBE geometry in OQMD.
Kinematic intensities with the Lorentz-polarization factor, no thermal factor.

Atomic structure:
```
data_PrNd2Si4Pd2Pt2
_chemical_formula_sum 'Pr1 Nd2 Si4 Pd2 Pt2'
_space_group_name_H-M_alt 'P 1'
_space_group_IT_number 1
_space_group_name_Hall 'P 1'
_cell_length_a 12.703
_cell_length_b 12.703
_cell_length_c 12.703
_cell_angle_alpha 161.20
_cell_angle_beta 160.71
_cell_angle_gamma 27.06
loop_
_atom_site_label
_atom_site_type_symbol
_atom_site_fract_x
_atom_site_fract_y
_atom_site_fract_z
Pr1 Pr 0.000 0.000 0.000
Nd1 Nd 0.353 0.853 0.500
Nd2 Nd 0.647 0.147 0.500
Si1 Si 0.196 0.696 0.500
Si2 Si 0.452 0.452 0.000
Si3 Si 0.548 0.548 0.000
Si4 Si 0.804 0.304 0.500
Pd1 Pd 0.098 0.598 0.500
Pd2 Pd 0.902 0.402 0.500
Pt1 Pt 0.247 0.247 0.000
Pt2 Pt 0.753 0.753 0.000
```

Main lines, in order of rising 2θ (10 to 90 degrees two-theta):
2θ = 28.92°, I = 15; 2θ = 33.33°, I = 16; 2θ = 33.47°, I = 100; 2θ = 42.48°, I = 19; 2θ = 43.63°, I = 18; 2θ = 62.53°, I = 12

=====

No. 6
# Pa2B2O5
Simulated PXRD pattern, CuKα. Input: the PBE geometry in OQMD.
Kinematic intensities with the Lorentz-polarization factor, no thermal factor.

Atomic structure:
```
data_Pa2B2O5
_chemical_formula_sum 'Pa2 B2 O5'
_space_group_name_H-M_alt 'P 1'
_space_group_IT_number 1
_space_group_name_Hall 'P 1'
_cell_length_a 4.284
_cell_length_b 4.284
_cell_length_c 8.616
_cell_angle_alpha 90.00
_cell_angle_beta 90.00
_cell_angle_gamma 90.00
loop_
_atom_site_label
_atom_site_type_symbol
_atom_site_fract_x
_atom_site_fract_y
_atom_site_fract_z
Pa1 Pa 0.000 0.000 0.249
Pa2 Pa 0.000 0.000 0.751
B1 B 0.500 0.500 0.000
B2 B 0.500 0.500 0.500
O1 O 0.000 0.000 0.000
O2 O 0.000 0.500 0.250
O3 O 0.000 0.500 0.750
O4 O 0.500 0.000 0.250
O5 O 0.500 0.000 0.750
```

Main lines, in order of rising 2θ (10 to 90 degrees two-theta):
2θ = 20.62°, I = 48; 2θ = 20.73°, I = 81; 2θ = 29.43°, I = 100; 2θ = 36.25°, I = 25; 2θ = 47.43°, I = 42; 2θ = 52.26°, I = 29